# 1
Starting from a structure optimized by DFT (PBE), the powder diffractogram of CaPmH8Pt2 was computed for λ = 1.5418 Å (Cu Kα).
Intensities are scaled so that the largest is 100.

Largest 6 diffraction maxima, sorted by position, 10 to 90 degrees two-theta:
2θ (°), I_rel
13.81, 20.5
28.44, 100.0
37.61, 51.6
43.53, 27.0
47.82, 24.5
62.38, 22.2

Structural model:
```
data_CaPmH8Pt2
_chemical_formula_sum 'Ca1 Pm1 H8 Pt2'
_symmetry_space_group_name_H-M 'P 1'
_symmetry_Int_Tables_number 1
_cell_length_a 6.9804
_cell_length_b 6.9804
_cell_length_c 6.9804
_cell_angle_alpha 40.07
_cell_angle_beta 40.07
_cell_angle_gamma 40.07
loop_
_symmetry_equiv_pos_as_xyz
'x,y,z'
loop_
_atom_site_label
_atom_site_type_symbol
_atom_site_fract_x
_atom_site_fract_y
_atom_site_fract_z
_atom_site_occupancy
Ca1 Ca 0.0000 0.0000 0.0000 1
Pm1 Pm 0.5000 0.5000 0.5000 1
H1 H 0.0955 0.5391 0.5391 1
H2 H 0.1505 0.1505 0.1505 1
H3 H 0.4609 0.4609 0.9045 1
H4 H 0.4609 0.9045 0.4609 1
H5 H 0.5391 0.0955 0.5391 1
H6 H 0.5391 0.5391 0.0955 1
H7 H 0.8495 0.8495 0.8495 1
H8 H 0.9045 0.4609 0.4609 1
Pt1 Pt 0.2380 0.2380 0.2380 1
Pt2 Pt 0.7620 0.7620 0.7620 1
```

---

# 2
Starting from a structure optimized by DFT (PBE), the powder diffractogram of Ca2PrH8Ru was computed for λ = 1.5418 Å (Cu Kα).
Intensities are scaled so that the largest is 100.

Largest 6 diffraction maxima, sorted by position, 10 to 90 degrees two-theta:
2θ (°), I_rel
21.05, 100.0
34.30, 97.7
36.88, 62.5
46.16, 31.3
51.25, 31.6
64.80, 30.1

Structural model:
```
data_Ca2PrH8Ru
_chemical_formula_sum 'Ca2 Pr1 H8 Ru1'
_symmetry_space_group_name_H-M 'P 1'
_symmetry_Int_Tables_number 1
_cell_length_a 4.8740
_cell_length_b 4.8740
_cell_length_c 6.6597
_cell_angle_alpha 90.00
_cell_angle_beta 90.00
_cell_angle_gamma 120.00
loop_
_symmetry_equiv_pos_as_xyz
'x,y,z'
loop_
_atom_site_label
_atom_site_type_symbol
_atom_site_fract_x
_atom_site_fract_y
_atom_site_fract_z
_atom_site_occupancy
Ca1 Ca 0.3333 0.6667 0.3525 1
Ca2 Ca 0.6667 0.3333 0.6475 1
Pr1 Pr 0.0000 0.0000 0.0000 1
H1 H 0.1596 0.3191 0.6629 1
H2 H 0.1596 0.8404 0.6629 1
H3 H 0.3191 0.1596 0.3371 1
H4 H 0.3333 0.6667 0.0179 1
H5 H 0.6667 0.3333 0.9821 1
H6 H 0.6809 0.8404 0.6629 1
H7 H 0.8404 0.1596 0.3371 1
H8 H 0.8404 0.6809 0.3371 1
Ru1 Ru 0.0000 0.0000 0.5000 1
```

---

# 3
Starting from a structure optimized by DFT (PBE), the powder diffractogram of CaH5Pt was computed for λ = 1.5418 Å (Cu Kα).
Intensities are scaled so that the largest is 100.

Largest 6 diffraction maxima, sorted by position, 10 to 90 degrees two-theta:
2θ (°), I_rel
22.04, 85.7
25.05, 77.3
26.59, 54.7
29.75, 100.0
39.27, 94.6
44.96, 39.8

Structural model:
```
data_CaH5Pt
_chemical_formula_sum 'Ca1 H5 Pt1'
_symmetry_space_group_name_H-M 'P 1'
_symmetry_Int_Tables_number 1
_cell_length_a 4.7125
_cell_length_b 4.7125
_cell_length_c 3.8011
_cell_angle_alpha 113.65
_cell_angle_beta 113.65
_cell_angle_gamma 62.60
loop_
_symmetry_equiv_pos_as_xyz
'x,y,z'
loop_
_atom_site_label
_atom_site_type_symbol
_atom_site_fract_x
_atom_site_fract_y
_atom_site_fract_z
_atom_site_occupancy
Ca1 Ca 0.0000 0.0000 0.0000 1
H1 H 0.0960 0.5794 0.3393 1
H2 H 0.4206 0.9040 0.6607 1
H3 H 0.5000 0.5000 0.0000 1
H4 H 0.5794 0.0960 0.3393 1
H5 H 0.9040 0.4206 0.6607 1
Pt1 Pt 0.5000 0.5000 0.5000 1
```

---

# 4
Starting from a structure optimized by DFT (PBE), the powder diffractogram of Ca2H4Pt was computed for λ = 1.5418 Å (Cu Kα).
Intensities are scaled so that the largest is 100.

Largest 6 diffraction maxima, sorted by position, 10 to 90 degrees two-theta:
2θ (°), I_rel
21.28, 100.0
34.51, 15.3
35.34, 56.8
40.93, 18.5
41.08, 18.6
42.23, 17.1

Structural model:
```
data_Ca2H4Pt
_chemical_formula_sum 'Ca4 H8 Pt2'
_symmetry_space_group_name_H-M 'P 1'
_symmetry_Int_Tables_number 1
_cell_length_a 5.1976
_cell_length_b 5.1645
_cell_length_c 7.0491
_cell_angle_alpha 90.00
_cell_angle_beta 90.06
_cell_angle_gamma 90.00
loop_
_symmetry_equiv_pos_as_xyz
'x,y,z'
loop_
_atom_site_label
_atom_site_type_symbol
_atom_site_fract_x
_atom_site_fract_y
_atom_site_fract_z
_atom_site_occupancy
Ca1 Ca 0.2487 0.2500 0.0013 1
Ca2 Ca 0.2488 0.2500 0.4993 1
Ca3 Ca 0.7512 0.7500 0.5007 1
Ca4 Ca 0.7513 0.7500 0.9987 1
H1 H 0.0055 0.0022 0.2499 1
H2 H 0.0055 0.4978 0.2499 1
H3 H 0.2815 0.7500 0.0146 1
H4 H 0.2814 0.7500 0.4856 1
H5 H 0.7186 0.2500 0.5144 1
H6 H 0.7185 0.2500 0.9854 1
H7 H 0.9945 0.5022 0.7501 1
H8 H 0.9945 0.9978 0.7501 1
Pt1 Pt 0.2406 0.7500 0.2500 1
Pt2 Pt 0.7594 0.2500 0.7500 1
```

---

# 5
Starting from a structure optimized by DFT (PBE), the powder diffractogram of Ca2H3Pt2 was computed for λ = 1.5418 Å (Cu Kα).
Intensities are scaled so that the largest is 100.

Largest 6 diffraction maxima, sorted by position, 10 to 90 degrees two-theta:
2θ (°), I_rel
24.75, 50.4
35.29, 100.0
43.59, 14.8
50.77, 17.7
57.28, 20.6
63.34, 34.9

Structural model:
```
data_Ca2H3Pt2
_chemical_formula_sum 'Ca4 H6 Pt4'
_symmetry_space_group_name_H-M 'P 1'
_symmetry_Int_Tables_number 1
_cell_length_a 6.2297
_cell_length_b 6.2297
_cell_length_c 6.2297
_cell_angle_alpha 109.47
_cell_angle_beta 109.47
_cell_angle_gamma 109.47
loop_
_symmetry_equiv_pos_as_xyz
'x,y,z'
loop_
_atom_site_label
_atom_site_type_symbol
_atom_site_fract_x
_atom_site_fract_y
_atom_site_fract_z
_atom_site_occupancy
Ca1 Ca 0.0000 0.0018 0.5000 1
Ca2 Ca 0.0018 0.5000 0.0000 1
Ca3 Ca 0.4982 0.4982 0.4982 1
Ca4 Ca 0.5000 0.0000 0.0018 1
H1 H 0.2388 0.9888 0.2500 1
H2 H 0.2500 0.2388 0.9888 1
H3 H 0.2612 0.5112 0.7500 1
H4 H 0.5112 0.7500 0.2612 1
H5 H 0.7500 0.2612 0.5112 1
H6 H 0.9888 0.2500 0.2388 1
Pt1 Pt 0.0000 0.5177 0.5000 1
Pt2 Pt 0.5000 0.0000 0.5177 1
Pt3 Pt 0.5177 0.5000 0.0000 1
Pt4 Pt 0.9823 0.9823 0.9823 1
```

---

# 6
Starting from a structure optimized by DFT (PBE), the powder diffractogram of SrCaH6Pt2 was computed for λ = 1.5418 Å (Cu Kα).
Intensities are scaled so that the largest is 100.

Largest 6 diffraction maxima, sorted by position, 10 to 90 degrees two-theta:
2θ (°), I_rel
20.41, 34.0
22.77, 34.7
25.09, 25.0
28.19, 36.4
28.88, 100.0
35.90, 45.2

Structural model:
```
data_SrCaH6Pt2
_chemical_formula_sum 'Sr2 Ca2 H12 Pt4'
_symmetry_space_group_name_H-M 'P 1'
_symmetry_Int_Tables_number 1
_cell_length_a 6.3636
_cell_length_b 6.3636
_cell_length_c 6.8452
_cell_angle_alpha 106.30
_cell_angle_beta 106.30
_cell_angle_gamma 84.70
loop_
_symmetry_equiv_pos_as_xyz
'x,y,z'
loop_
_atom_site_label
_atom_site_type_symbol
_atom_site_fract_x
_atom_site_fract_y
_atom_site_fract_z
_atom_site_occupancy
Sr1 Sr 0.1110 0.8890 0.7500 1
Sr2 Sr 0.8890 0.1110 0.2500 1
Ca1 Ca 0.4220 0.5780 0.2500 1
Ca2 Ca 0.5780 0.4220 0.7500 1
H1 H 0.0956 0.7516 0.2949 1
H2 H 0.1903 0.3216 0.6078 1
H3 H 0.2484 0.9044 0.2051 1
H4 H 0.3009 0.6075 0.9216 1
H5 H 0.3216 0.1903 0.1078 1
H6 H 0.3925 0.6991 0.5784 1
H7 H 0.6075 0.3009 0.4216 1
H8 H 0.6784 0.8097 0.8922 1
H9 H 0.6991 0.3925 0.0784 1
H10 H 0.7516 0.0956 0.7949 1
H11 H 0.8097 0.6784 0.3922 1
H12 H 0.9044 0.2484 0.7051 1
Pt1 Pt 0.0987 0.4246 0.8214 1
Pt2 Pt 0.4246 0.0987 0.3214 1
Pt3 Pt 0.5754 0.9013 0.6786 1
Pt4 Pt 0.9013 0.5754 0.1786 1
```

---

# 7
Starting from a structure optimized by DFT (PBE), the powder diffractogram of CaZn2HPt was computed for λ = 1.5418 Å (Cu Kα).
Intensities are scaled so that the largest is 100.

Largest 6 diffraction maxima, sorted by position, 10 to 90 degrees two-theta:
2θ (°), I_rel
17.30, 100.0
26.56, 47.9
32.82, 24.6
36.48, 48.7
41.40, 95.0
48.72, 26.5

Structural model:
```
data_CaZn2HPt
_chemical_formula_sum 'Ca2 Zn4 H2 Pt2'
_symmetry_space_group_name_H-M 'P 1'
_symmetry_Int_Tables_number 1
_cell_length_a 5.4944
_cell_length_b 5.4944
_cell_length_c 8.1179
_cell_angle_alpha 90.00
_cell_angle_beta 90.00
_cell_angle_gamma 137.86
loop_
_symmetry_equiv_pos_as_xyz
'x,y,z'
loop_
_atom_site_label
_atom_site_type_symbol
_atom_site_fract_x
_atom_site_fract_y
_atom_site_fract_z
_atom_site_occupancy
Ca1 Ca 0.0560 0.9440 0.7500 1
Ca2 Ca 0.9440 0.0560 0.2500 1
Zn1 Zn 0.3261 0.6739 0.5533 1
Zn2 Zn 0.3261 0.6739 0.9467 1
Zn3 Zn 0.6739 0.3261 0.0533 1
Zn4 Zn 0.6739 0.3261 0.4467 1
H1 H 0.5000 0.5000 0.0000 1
H2 H 0.5000 0.5000 0.5000 1
Pt1 Pt 0.2247 0.7753 0.2500 1
Pt2 Pt 0.7753 0.2247 0.7500 1
```